# CsNa8Hg2
Simulated X-ray powder pattern, a wavelength of 1.5418 Å. Input: a cell relaxed with PBE.

The 10 most intense peaks (2θ from 10° to 80°), low angle first:
| d [Å] | Rel. int. |
| --- | --- |
| 5.536 | 25 |
| 5.062 | 16 |
| 4.603 | 100 |
| 3.006 | 49 |
| 2.982 | 35 |
| 2.569 | 18 |
| 2.531 | 21 |
| 2.218 | 32 |
| 2.190 | 21 |
| 1.930 | 20 |

Cell and atoms:
```
data_CsNa8Hg2
_cell_length_a 12.174
_cell_length_b 12.174
_cell_length_c 12.174
_cell_angle_alpha 145.80
_cell_angle_beta 145.80
_cell_angle_gamma 49.14
_symmetry_space_group_name_H-M 'P 1'
_symmetry_Int_Tables_number 1
_symmetry_space_group_name_Hall 'P 1'
loop_
_atom_site_label
_atom_site_fract_x
_atom_site_fract_y
_atom_site_fract_z
_atom_site_occupancy
Cs1 0.000 0.000 0.000 1
Na1 0.083 0.083 0.501 1
Na2 0.083 0.582 0.000 1
Na3 0.418 0.418 0.501 1
Na4 0.418 0.917 0.000 1
Na5 0.582 0.083 0.000 1
Na6 0.582 0.582 0.499 1
Na7 0.917 0.418 0.000 1
Na8 0.917 0.917 0.499 1
Hg1 0.250 0.750 0.500 1
Hg2 0.750 0.250 0.500 1
```